This entry pairs a crystal structure of Ba3BN3 with its simulated PXRD pattern. Radiation: a wavelength of 1.5418 Å. Structure: the PBE geometry in the Materials Project.
Intensities are scaled so that the largest is 100.

Crystal structure
```
data_Ba3BN3
_chemical_formula_sum 'Ba6 B2 N6'
_space_group_name_H-M_alt 'P 1'
_space_group_IT_number 1
_cell_length_a 8.509
_cell_length_b 8.509
_cell_length_c 5.215
_cell_angle_alpha 90.00
_cell_angle_beta 90.00
_cell_angle_gamma 120.00
loop_
_space_group_symop_operation_xyz
'x,y,z'
loop_
_atom_site_label
_atom_site_type_symbol
_atom_site_fract_x
_atom_site_fract_y
_atom_site_fract_z
_atom_site_occupancy
Ba1 Ba 0.035 0.361 0.250 1
Ba2 Ba 0.326 0.965 0.250 1
Ba3 Ba 0.361 0.326 0.750 1
Ba4 Ba 0.639 0.674 0.250 1
Ba5 Ba 0.674 0.035 0.750 1
Ba6 Ba 0.965 0.639 0.750 1
B1 B 0.333 0.667 0.750 1
B2 B 0.667 0.333 0.250 1
N1 N 0.161 0.482 0.750 1
N2 N 0.322 0.839 0.750 1
N3 N 0.482 0.322 0.250 1
N4 N 0.518 0.678 0.750 1
N5 N 0.678 0.161 0.250 1
N6 N 0.839 0.518 0.250 1
```

Peak list (8 most intense, 5 to 70 degrees two-theta, by intensity)
(1 1 1), 27.05°, I = 100; (1 1 0), 20.88°, I = 30; (3 0 0), 36.58°, I = 29; (2 2 1), 46.08°, I = 23; (1 1 3), 57.26°, I = 21; (3 0 2), 51.08°, I = 20; (0 0 2), 34.39°, I = 18; (4 1 1), 60.22°, I = 13

This entry pairs a crystal structure of Ba4Nd7Si12BN27 with its simulated PXRD pattern. Radiation: a wavelength of 1.5418 Å. Structure: the PBE geometry in the Materials Project.
Intensities are scaled so that the largest is 100.

Crystal structure
```
data_Ba4Nd7Si12BN27
_chemical_formula_sum 'Ba4 Nd7 Si12 B1 N27'
_space_group_name_H-M_alt 'P 1'
_space_group_IT_number 1
_cell_length_a 12.337
_cell_length_b 12.337
_cell_length_c 5.476
_cell_angle_alpha 90.00
_cell_angle_beta 90.00
_cell_angle_gamma 120.00
loop_
_space_group_symop_operation_xyz
'x,y,z'
loop_
_atom_site_label
_atom_site_type_symbol
_atom_site_fract_x
_atom_site_fract_y
_atom_site_fract_z
_atom_site_occupancy
Ba1 Ba 0.000 0.000 0.000 1
Ba2 Ba 0.178 0.766 0.000 1
Ba3 Ba 0.234 0.412 0.000 1
Ba4 Ba 0.588 0.822 0.000 1
Nd1 Nd 0.344 0.039 0.500 1
Nd2 Nd 0.447 0.357 0.500 1
Nd3 Nd 0.643 0.090 0.500 1
Nd4 Nd 0.667 0.333 0.000 1
Nd5 Nd 0.695 0.656 0.500 1
Nd6 Nd 0.910 0.553 0.500 1
Nd7 Nd 0.961 0.305 0.500 1
Si1 Si 0.160 0.130 0.500 1
Si2 Si 0.172 0.576 0.500 1
Si3 Si 0.345 0.205 0.000 1
Si4 Si 0.403 0.828 0.500 1
Si5 Si 0.424 0.597 0.500 1
Si6 Si 0.481 0.023 0.000 1
Si7 Si 0.542 0.519 0.000 1
Si8 Si 0.795 0.141 0.000 1
Si9 Si 0.859 0.655 0.000 1
Si10 Si 0.870 0.030 0.500 1
Si11 Si 0.970 0.840 0.500 1
Si12 Si 0.977 0.458 0.000 1
B1 B 0.667 0.333 0.500 1
N1 N 0.030 0.146 0.500 1
N2 N 0.067 0.513 0.259 1
N3 N 0.067 0.513 0.741 1
N4 N 0.116 0.970 0.500 1
N5 N 0.243 0.736 0.500 1
N6 N 0.260 0.199 0.254 1
N7 N 0.260 0.199 0.746 1
N8 N 0.264 0.508 0.500 1
N9 N 0.382 0.086 0.000 1
N10 N 0.446 0.933 0.259 1
N11 N 0.446 0.933 0.741 1
N12 N 0.483 0.356 0.000 1
N13 N 0.487 0.554 0.259 1
N14 N 0.487 0.554 0.741 1
N15 N 0.492 0.757 0.500 1
N16 N 0.540 0.222 0.500 1
N17 N 0.644 0.127 0.000 1
N18 N 0.682 0.460 0.500 1
N19 N 0.704 0.618 0.000 1
N20 N 0.778 0.318 0.500 1
N21 N 0.801 0.061 0.254 1
N22 N 0.801 0.061 0.746 1
N23 N 0.854 0.884 0.500 1
N24 N 0.873 0.517 0.000 1
N25 N 0.914 0.296 0.000 1
N26 N 0.939 0.740 0.254 1
N27 N 0.939 0.740 0.746 1
```

Peak list (8 most intense, 5 to 70 degrees two-theta, by intensity)
(2 2 1), 33.34°, I = 100; (2 1 1), 27.44°, I = 76; (0 0 2), 32.71°, I = 71; (2 0 1), 23.26°, I = 70; (1 1 1), 21.70°, I = 41; (1 0 0), 8.28°, I = 37; (1 4 0), 38.62°, I = 36; (1 3 0), 30.16°, I = 32

This entry pairs a crystal structure of Ba4Pr7Si12BN27 with its simulated PXRD pattern. Radiation: a wavelength of 1.5418 Å. Structure: the PBE geometry in the Materials Project.
Intensities are scaled so that the largest is 100.

Crystal structure
```
data_Ba4Pr7Si12BN27
_chemical_formula_sum 'Ba4 Pr7 Si12 B1 N27'
_space_group_name_H-M_alt 'P 1'
_space_group_IT_number 1
_cell_length_a 12.382
_cell_length_b 12.382
_cell_length_c 5.485
_cell_angle_alpha 90.00
_cell_angle_beta 90.00
_cell_angle_gamma 120.00
loop_
_space_group_symop_operation_xyz
'x,y,z'
loop_
_atom_site_label
_atom_site_type_symbol
_atom_site_fract_x
_atom_site_fract_y
_atom_site_fract_z
_atom_site_occupancy
Ba1 Ba 0.000 0.000 0.000 1
Ba2 Ba 0.178 0.765 0.000 1
Ba3 Ba 0.235 0.413 0.000 1
Ba4 Ba 0.587 0.822 0.000 1
Pr1 Pr 0.343 0.039 0.500 1
Pr2 Pr 0.446 0.357 0.500 1
Pr3 Pr 0.643 0.089 0.500 1
Pr4 Pr 0.667 0.333 0.000 1
Pr5 Pr 0.695 0.657 0.500 1
Pr6 Pr 0.911 0.554 0.500 1
Pr7 Pr 0.961 0.305 0.500 1
Si1 Si 0.159 0.128 0.500 1
Si2 Si 0.173 0.575 0.500 1
Si3 Si 0.345 0.204 0.000 1
Si4 Si 0.402 0.827 0.500 1
Si5 Si 0.425 0.598 0.500 1
Si6 Si 0.480 0.022 0.000 1
Si7 Si 0.541 0.520 0.000 1
Si8 Si 0.796 0.141 0.000 1
Si9 Si 0.859 0.655 0.000 1
Si10 Si 0.872 0.031 0.500 1
Si11 Si 0.969 0.841 0.500 1
Si12 Si 0.978 0.459 0.000 1
B1 B 0.667 0.333 0.500 1
N1 N 0.031 0.146 0.500 1
N2 N 0.069 0.513 0.258 1
N3 N 0.069 0.513 0.742 1
N4 N 0.115 0.969 0.500 1
N5 N 0.243 0.735 0.500 1
N6 N 0.259 0.197 0.254 1
N7 N 0.259 0.197 0.746 1
N8 N 0.265 0.508 0.500 1
N9 N 0.384 0.087 0.000 1
N10 N 0.445 0.931 0.258 1
N11 N 0.445 0.931 0.742 1
N12 N 0.481 0.356 0.000 1
N13 N 0.487 0.555 0.258 1
N14 N 0.487 0.555 0.742 1
N15 N 0.492 0.757 0.500 1
N16 N 0.541 0.223 0.500 1
N17 N 0.644 0.125 0.000 1
N18 N 0.682 0.459 0.500 1
N19 N 0.703 0.616 0.000 1
N20 N 0.777 0.318 0.500 1
N21 N 0.803 0.063 0.254 1
N22 N 0.803 0.063 0.746 1
N23 N 0.854 0.885 0.500 1
N24 N 0.875 0.519 0.000 1
N25 N 0.913 0.297 0.000 1
N26 N 0.937 0.741 0.254 1
N27 N 0.937 0.741 0.746 1
```

Peak list (8 most intense, 5 to 70 degrees two-theta, by intensity)
(2 2 1), 33.23°, I = 100; (2 1 1), 27.36°, I = 78; (0 0 2), 32.65°, I = 72; (2 0 1), 23.20°, I = 69; (1 1 1), 21.65°, I = 41; (1 4 0), 38.47°, I = 37; (1 0 0), 8.25°, I = 34; (3 1 1), 34.30°, I = 32

This entry pairs a crystal structure of Ba4Sm7Si12BN27 with its simulated PXRD pattern. Radiation: a wavelength of 1.5418 Å. Structure: the PBE geometry in the Materials Project.
Intensities are scaled so that the largest is 100.

Crystal structure
```
data_Ba4Sm7Si12BN27
_chemical_formula_sum 'Ba4 Sm7 Si12 B1 N27'
_space_group_name_H-M_alt 'P 1'
_space_group_IT_number 1
_cell_length_a 12.261
_cell_length_b 12.261
_cell_length_c 5.458
_cell_angle_alpha 90.00
_cell_angle_beta 90.00
_cell_angle_gamma 120.00
loop_
_space_group_symop_operation_xyz
'x,y,z'
loop_
_atom_site_label
_atom_site_type_symbol
_atom_site_fract_x
_atom_site_fract_y
_atom_site_fract_z
_atom_site_occupancy
Ba1 Ba 0.000 0.000 0.000 1
Ba2 Ba 0.178 0.768 0.000 1
Ba3 Ba 0.232 0.410 0.000 1
Ba4 Ba 0.590 0.822 0.000 1
Sm1 Sm 0.345 0.040 0.500 1
Sm2 Sm 0.448 0.357 0.500 1
Sm3 Sm 0.643 0.091 0.500 1
Sm4 Sm 0.667 0.333 0.000 1
Sm5 Sm 0.694 0.655 0.500 1
Sm6 Sm 0.909 0.552 0.500 1
Sm7 Sm 0.960 0.306 0.500 1
Si1 Si 0.161 0.132 0.500 1
Si2 Si 0.172 0.576 0.500 1
Si3 Si 0.346 0.206 0.000 1
Si4 Si 0.404 0.828 0.500 1
Si5 Si 0.424 0.596 0.500 1
Si6 Si 0.480 0.024 0.000 1
Si7 Si 0.544 0.520 0.000 1
Si8 Si 0.794 0.140 0.000 1
Si9 Si 0.860 0.654 0.000 1
Si10 Si 0.868 0.029 0.500 1
Si11 Si 0.971 0.839 0.500 1
Si12 Si 0.976 0.456 0.000 1
B1 B 0.667 0.333 0.500 1
N1 N 0.028 0.147 0.500 1
N2 N 0.065 0.512 0.260 1
N3 N 0.065 0.512 0.740 1
N4 N 0.119 0.972 0.500 1
N5 N 0.243 0.736 0.500 1
N6 N 0.262 0.204 0.255 1
N7 N 0.262 0.204 0.745 1
N8 N 0.264 0.507 0.500 1
N9 N 0.378 0.083 0.000 1
N10 N 0.447 0.935 0.260 1
N11 N 0.447 0.935 0.740 1
N12 N 0.486 0.356 0.000 1
N13 N 0.488 0.553 0.260 1
N14 N 0.488 0.553 0.740 1
N15 N 0.493 0.757 0.500 1
N16 N 0.539 0.222 0.500 1
N17 N 0.644 0.130 0.000 1
N18 N 0.682 0.461 0.500 1
N19 N 0.705 0.622 0.000 1
N20 N 0.778 0.318 0.500 1
N21 N 0.796 0.058 0.255 1
N22 N 0.796 0.058 0.745 1
N23 N 0.853 0.881 0.500 1
N24 N 0.870 0.514 0.000 1
N25 N 0.917 0.295 0.000 1
N26 N 0.942 0.738 0.255 1
N27 N 0.942 0.738 0.745 1
```

Peak list (8 most intense, 5 to 70 degrees two-theta, by intensity)
(2 2 1), 33.53°, I = 100; (2 1 1), 27.59°, I = 72; (2 0 1), 23.37°, I = 70; (0 0 2), 32.82°, I = 70; (1 0 0), 8.33°, I = 43; (1 1 1), 21.80°, I = 42; (1 4 0), 38.87°, I = 35; (1 3 0), 30.35°, I = 31